Sm6Y2Er: simulated XRD peak list (a wavelength of 1.5418 Å), based on a cell relaxed with GGA-PBE.

Structural model:
a = 9.9503 Å, b = 9.9503 Å, c = 3.6621 Å
α = 90.00°, β = 90.00°, γ = 123.97°
Sites, in units of the cell vectors:
Sm 0.0121 0.3408 0.0000
Sm 0.1856 0.1856 0.5000
Sm 0.3408 0.0121 0.0000
Sm 0.6592 0.9879 0.0000
Sm 0.8144 0.8144 0.5000
Sm 0.9879 0.6592 0.0000
Y 0.3220 0.6780 0.5000
Y 0.6780 0.3220 0.5000
Er 0.5000 0.5000 0.0000

Principal peaks in the range 2θ from 10° to 90°, low angle first:
d [Å], I (rel.)
3.068, 72
2.947, 100
2.928, 70
2.739, 67
2.410, 41
2.331, 36
2.199, 23
1.602, 34
1.572, 20
1.552, 21


Sm8YEr6: simulated XRD peak list (a wavelength of 1.5418 Å), based on a cell relaxed with GGA-PBE.

Structural model:
a = 8.6813 Å, b = 8.6813 Å, c = 8.6813 Å
α = 62.90°, β = 62.90°, γ = 62.90°
Sites, in units of the cell vectors:
Sm 0.0774 0.0774 0.0774
Sm 0.2181 0.6115 0.2486
Sm 0.2486 0.2181 0.6115
Sm 0.3885 0.7514 0.7819
Sm 0.6115 0.2486 0.2181
Sm 0.7514 0.7819 0.3885
Sm 0.7819 0.3885 0.7514
Sm 0.9226 0.9226 0.9226
Y 0.5000 0.5000 0.5000
Er 0.0387 0.5989 0.7450
Er 0.2550 0.9613 0.4011
Er 0.4011 0.2550 0.9613
Er 0.5989 0.7450 0.0387
Er 0.7450 0.0387 0.5989
Er 0.9613 0.4011 0.2550

Principal peaks in the range 2θ from 10° to 90°, low angle first:
d [Å], I (rel.)
2.936, 30
2.852, 100
2.777, 30
2.752, 14
2.576, 12
2.447, 13
1.731, 13
1.701, 13
1.662, 11
1.479, 8


Sm7YEr3: simulated XRD peak list (a wavelength of 1.5418 Å), based on a cell relaxed with GGA-PBE.

Structural model:
a = 7.0691 Å, b = 5.6044 Å, c = 9.9402 Å
α = 90.00°, β = 110.35°, γ = 90.00°
Sites, in units of the cell vectors:
Sm 0.0000 0.0000 0.0000
Sm 0.1470 0.5000 0.2920
Sm 0.3222 0.5000 0.6412
Sm 0.4184 0.0000 0.8299
Sm 0.5816 0.0000 0.1701
Sm 0.6778 0.5000 0.3588
Sm 0.8530 0.5000 0.7080
Y 0.0000 0.0000 0.5000
Er 0.2792 0.5000 0.9987
Er 0.5000 0.0000 0.5000
Er 0.7208 0.5000 0.0013

Principal peaks in the range 2θ from 10° to 90°, low angle first:
d [Å], I (rel.)
2.852, 90
2.839, 100
2.827, 20
2.803, 86
2.717, 67
1.982, 16
1.767, 15
1.626, 31
1.601, 18
1.495, 18


SmY7Er4: simulated XRD peak list (a wavelength of 1.5418 Å), based on a cell relaxed with GGA-PBE.

Structural model:
a = 6.4998 Å, b = 6.8053 Å, c = 9.0633 Å
α = 86.34°, β = 76.49°, γ = 82.19°
Sites, in units of the cell vectors:
Sm 0.0000 0.0000 0.0000
Y 0.0000 0.5000 0.0000
Y 0.1912 0.1063 0.3871
Y 0.3167 0.6950 0.6393
Y 0.4845 0.2513 0.0495
Y 0.5155 0.7487 0.9505
Y 0.6833 0.3050 0.3607
Y 0.8088 0.8937 0.6129
Er 0.1610 0.6148 0.3112
Er 0.3586 0.1903 0.7140
Er 0.6414 0.8097 0.2860
Er 0.8390 0.3852 0.6888

Principal peaks in the range 2θ from 10° to 90°, low angle first:
d [Å], I (rel.)
2.936, 36
2.883, 38
2.826, 100
2.762, 50
2.749, 32
2.723, 18
2.116, 14
1.964, 12
1.934, 12
1.607, 24